[1]
For Ac2MgPb, a structure optimized by DFT (PBE) gives the calculated X-ray diffraction stick pattern in this record (copper Kα).

Crystal structure
```
data_Ac2MgPb
_cell_length_a 8.3007
_cell_length_b 8.3007
_cell_length_c 8.3007
_cell_angle_alpha 90.00
_cell_angle_beta 90.00
_cell_angle_gamma 90.00
_space_group_name_H-M_alt 'F m -3 m'
_space_group_IT_number 225
_space_group_name_Hall '-F 4 2 3'
loop_
_atom_site_label
_atom_site_fract_x
_atom_site_fract_y
_atom_site_fract_z
Ac1 0.2500 0.2500 0.2500
Mg1 0.0000 0.0000 0.0000
Pb1 0.0000 0.0000 0.5000
```

Largest 6 diffraction maxima, low angle first, 2θ from 5° to 70°:
| two_theta | intensity |
| --- | --- |
| 18.51 | 15 |
| 21.41 | 12 |
| 30.46 | 100 |
| 43.62 | 19 |
| 54.13 | 41 |
| 63.39 | 13 |

---

[2]
For AcPrMg2, a structure optimized by DFT (PBE) gives the calculated X-ray diffraction stick pattern in this record (copper Kα).

Crystal structure
```
data_AcPrMg2
_cell_length_a 8.0184
_cell_length_b 8.0184
_cell_length_c 8.0184
_cell_angle_alpha 90.00
_cell_angle_beta 90.00
_cell_angle_gamma 90.00
_space_group_name_H-M_alt 'F m -3 m'
_space_group_IT_number 225
_space_group_name_Hall '-F 4 2 3'
loop_
_atom_site_label
_atom_site_fract_x
_atom_site_fract_y
_atom_site_fract_z
Ac1 0.0000 0.0000 0.0000
Pr1 0.0000 0.0000 0.5000
Mg1 0.2500 0.2500 0.2500
```

Largest 6 diffraction maxima, low angle first, 2θ from 5° to 70°:
| two_theta | intensity |
| --- | --- |
| 22.17 | 67 |
| 31.56 | 100 |
| 38.91 | 21 |
| 45.23 | 19 |
| 50.93 | 30 |
| 56.20 | 39 |

---

[3]
For Ac2MgSn, a structure optimized by DFT (PBE) gives the calculated X-ray diffraction stick pattern in this record (copper Kα).

Crystal structure
```
data_Ac2MgSn
_cell_length_a 8.1866
_cell_length_b 8.1866
_cell_length_c 8.1866
_cell_angle_alpha 90.00
_cell_angle_beta 90.00
_cell_angle_gamma 90.00
_space_group_name_H-M_alt 'F m -3 m'
_space_group_IT_number 225
_space_group_name_Hall '-F 4 2 3'
loop_
_atom_site_label
_atom_site_fract_x
_atom_site_fract_y
_atom_site_fract_z
Ac1 0.2500 0.2500 0.2500
Mg1 0.0000 0.0000 0.0000
Sn1 0.0000 0.0000 0.5000
```

Largest 6 diffraction maxima, low angle first, 2θ from 5° to 70°:
| two_theta | intensity |
| --- | --- |
| 21.71 | 29 |
| 30.89 | 100 |
| 44.26 | 19 |
| 49.81 | 14 |
| 54.95 | 41 |
| 64.38 | 13 |

---

[4]
For AcMgTl2, a structure optimized by DFT (PBE) gives the calculated X-ray diffraction stick pattern in this record (copper Kα).

Crystal structure
```
data_AcMgTl2
_cell_length_a 7.8600
_cell_length_b 7.8600
_cell_length_c 7.8600
_cell_angle_alpha 90.00
_cell_angle_beta 90.00
_cell_angle_gamma 90.00
_space_group_name_H-M_alt 'F m -3 m'
_space_group_IT_number 225
_space_group_name_Hall '-F 4 2 3'
loop_
_atom_site_label
_atom_site_fract_x
_atom_site_fract_y
_atom_site_fract_z
Ac1 0.0000 0.0000 0.0000
Mg1 0.0000 0.0000 0.5000
Tl1 0.2500 0.2500 0.2500
```

Largest 6 diffraction maxima, low angle first, 2θ from 5° to 70°:
| two_theta | intensity |
| --- | --- |
| 19.56 | 20 |
| 32.21 | 100 |
| 37.97 | 12 |
| 46.20 | 19 |
| 57.44 | 40 |
| 67.40 | 12 |